Entry 1:
For TbZn4Cu, a GGA-PBE-relaxed structure gives the simulated X-ray diffraction stick pattern in this record (CuKα).

The 6 most intense peaks (2θ = 10–90°), by intensity:
| Position (°2θ) | Rel. int. |
| --- | --- |
| 35.29 | 100 |
| 39.25 | 51 |
| 36.80 | 48 |
| 45.09 | 36 |
| 37.57 | 27 |
| 44.46 | 27 |

Structural model:
Cell: 7.945 7.945 6.723 Å, 90.00 90.00 150.68°
Positions (direct):
Tb: 0.122 0.878 0.750
Tb: 0.878 0.122 0.250
Zn: 0.073 0.927 0.250
Zn: 0.323 0.677 0.559
Zn: 0.323 0.677 0.941
Zn: 0.500 0.500 0.000
Zn: 0.500 0.500 0.500
Zn: 0.677 0.323 0.059
Zn: 0.677 0.323 0.441
Zn: 0.927 0.073 0.750
Cu: 0.234 0.766 0.250
Cu: 0.766 0.234 0.750

Entry 2:
For TbZn2Cu9, a GGA-PBE-relaxed structure gives the simulated X-ray diffraction stick pattern in this record (CuKα).

The 6 most intense peaks (2θ = 10–90°), by intensity:
| Position (°2θ) | Rel. int. |
| --- | --- |
| 39.29 | 100 |
| 39.92 | 70 |
| 47.06 | 42 |
| 34.81 | 40 |
| 42.11 | 32 |
| 48.90 | 29 |

Structural model:
Cell: 7.864 7.864 7.864 Å, 100.10 100.10 130.47°
Positions (direct):
Tb: 0.375 0.625 0.750
Tb: 0.625 0.375 0.250
Zn: 0.000 0.000 0.000
Zn: 0.000 0.000 0.500
Zn: 0.000 0.500 0.000
Zn: 0.500 0.000 0.500
Cu: 0.125 0.875 0.250
Cu: 0.137 0.557 0.335
Cu: 0.137 0.801 0.580
Cu: 0.199 0.279 0.335
Cu: 0.199 0.863 0.920
Cu: 0.279 0.199 0.835
Cu: 0.279 0.443 0.080
Cu: 0.443 0.279 0.580
Cu: 0.443 0.863 0.165
Cu: 0.557 0.137 0.835
Cu: 0.557 0.721 0.420
Cu: 0.721 0.557 0.920
Cu: 0.721 0.801 0.165
Cu: 0.801 0.137 0.080
Cu: 0.801 0.721 0.665
Cu: 0.863 0.199 0.420
Cu: 0.863 0.443 0.665
Cu: 0.875 0.125 0.750